This entry pairs a crystal structure of Li3BiS3 with its calculated powder diffraction line list. Radiation: Cu Ka. Structure: a crystal structure in the Materials Project, relaxed with PBE.
Neutral-atom scattering factors, no anomalous dispersion.

Crystal structure
Cell lengths 7.8202, 6.8445, 10.4358 Å; angles 90.00, 90.00, 90.00 degrees
Fractional positions:
Li (0.0675, 0.0400, 0.0000)
Li (0.0942, 0.3424, 0.4549)
Li (0.2478, 0.3766, 0.1515)
Li (0.2522, 0.8766, 0.6515)
Li (0.4058, 0.8424, 0.9549)
Li (0.4325, 0.5400, 0.5000)
Li (0.5675, 0.4600, 0.0000)
Li (0.5942, 0.1576, 0.4549)
Li (0.7478, 0.1234, 0.1515)
Li (0.7522, 0.6234, 0.6515)
Li (0.9058, 0.6576, 0.9549)
Li (0.9325, 0.9600, 0.5000)
Bi (0.2169, 0.4008, 0.7746)
Bi (0.2831, 0.9008, 0.2746)
Bi (0.7169, 0.0992, 0.7746)
Bi (0.7831, 0.5992, 0.2746)
S (0.0375, 0.1554, 0.2617)
S (0.1488, 0.6957, 0.4552)
S (0.1732, 0.7042, 0.0793)
S (0.3268, 0.2042, 0.5793)
S (0.3512, 0.1957, 0.9552)
S (0.4625, 0.6554, 0.7617)
S (0.5375, 0.3446, 0.2617)
S (0.6488, 0.8043, 0.4552)
S (0.6732, 0.7958, 0.0793)
S (0.8268, 0.2958, 0.5793)
S (0.8512, 0.3043, 0.9552)
S (0.9625, 0.8446, 0.7617)

Most intense lines, 5° ≤ 2θ ≤ 70°, low angle first:
- d = 5.723 Å, 2θ 15.48, intensity 41
- d = 5.218 Å, 2θ 16.99, intensity 44
- d = 4.619 Å, 2θ 19.22, intensity 100
- d = 3.910 Å, 2θ 22.74, intensity 24
- d = 3.229 Å, 2θ 27.63, intensity 36
- d = 3.132 Å, 2θ 28.49, intensity 35
- d = 2.883 Å, 2θ 31.02, intensity 46
- d = 2.687 Å, 2θ 33.34, intensity 46

This entry pairs a crystal structure of Pr3AgGeS7 with its calculated powder diffraction line list. Radiation: Cu Ka. Structure: a crystal structure in the Materials Project, relaxed with PBE.
Neutral-atom scattering factors, no anomalous dispersion.

Crystal structure
Cell lengths 10.3740, 10.3740, 5.8862 Å; angles 90.00, 90.00, 120.00 degrees
Fractional positions:
Pr (0.1299, 0.3598, 0.0000)
Pr (0.2298, 0.8701, 0.0000)
Pr (0.3598, 0.2298, 0.5000)
Pr (0.6402, 0.7702, 0.0000)
Pr (0.7702, 0.1299, 0.5000)
Pr (0.8701, 0.6402, 0.5000)
Ag (0.0000, 0.0000, 0.0602)
Ag (0.0000, 0.0000, 0.5602)
Ge (0.3333, 0.6667, 0.4175)
Ge (0.6667, 0.3333, 0.9175)
S (0.0982, 0.2696, 0.5203)
S (0.1067, 0.5840, 0.2634)
S (0.1715, 0.9018, 0.5203)
S (0.2696, 0.1715, 0.0203)
S (0.3333, 0.6667, 0.7929)
S (0.4160, 0.5227, 0.2634)
S (0.4773, 0.8933, 0.2634)
S (0.5227, 0.1067, 0.7634)
S (0.5840, 0.4773, 0.7634)
S (0.6667, 0.3333, 0.2929)
S (0.7304, 0.8285, 0.5203)
S (0.8285, 0.0982, 0.0203)
S (0.8933, 0.4160, 0.7634)
S (0.9018, 0.7304, 0.0203)

Most intense lines, 5° ≤ 2θ ≤ 70°, low angle first:
- d = 8.984 Å, 2θ 9.85, intensity 33
- d = 3.571 Å, 2θ 24.93, intensity 100
- d = 3.396 Å, 2θ 26.24, intensity 40
- d = 2.943 Å, 2θ 30.37, intensity 38
- d = 2.593 Å, 2θ 34.59, intensity 63
- d = 2.492 Å, 2θ 36.04, intensity 45
- d = 2.224 Å, 2θ 40.56, intensity 54
- d = 1.946 Å, 2θ 46.68, intensity 41

This entry pairs a crystal structure of Na4Ge2PbS6 with its calculated powder diffraction line list. Radiation: Cu Ka. Structure: a crystal structure in the Materials Project, relaxed with PBE.
Neutral-atom scattering factors, no anomalous dispersion.

Crystal structure
Cell lengths 6.8981, 6.8981, 7.8364 Å; angles 98.45, 98.45, 119.76 degrees
Fractional positions:
Na (0.0000, 0.0000, 0.0000)
Na (0.1650, 0.8350, 0.5000)
Na (0.4860, 0.5140, 0.5000)
Na (0.8437, 0.1563, 0.5000)
Ge (0.6127, 0.2829, 0.8382)
Ge (0.7171, 0.3873, 0.1618)
Pb (0.3297, 0.6703, 0.0000)
S (0.0581, 0.4179, 0.2513)
S (0.2721, 0.2530, 0.7485)
S (0.4401, 0.1098, 0.2533)
S (0.5821, 0.9419, 0.7487)
S (0.7470, 0.7279, 0.2515)
S (0.8902, 0.5599, 0.7467)

Most intense lines, 5° ≤ 2θ ≤ 70°, low angle first:
- d = 7.493 Å, 2θ 11.81, intensity 54
- d = 5.789 Å, 2θ 15.31, intensity 30
- d = 5.282 Å, 2θ 16.79, intensity 23
- d = 3.593 Å, 2θ 24.78, intensity 19
- d = 3.413 Å, 2θ 26.11, intensity 46
- d = 3.173 Å, 2θ 28.12, intensity 19
- d = 2.942 Å, 2θ 30.38, intensity 100
- d = 1.996 Å, 2θ 45.44, intensity 30

This entry pairs a crystal structure of GdGePt with its calculated powder diffraction line list. Radiation: Cu Ka. Structure: a crystal structure in the Materials Project, relaxed with PBE.
Neutral-atom scattering factors, no anomalous dispersion.

Crystal structure
Cell lengths 7.1487, 4.4266, 7.6502 Å; angles 90.00, 90.00, 90.00 degrees
Fractional positions:
Gd (0.0020, 0.2500, 0.2036)
Gd (0.4980, 0.7500, 0.7036)
Gd (0.5020, 0.2500, 0.2964)
Gd (0.9980, 0.7500, 0.7964)
Ge (0.1871, 0.2500, 0.5876)
Ge (0.3129, 0.7500, 0.0876)
Ge (0.6871, 0.2500, 0.9124)
Ge (0.8129, 0.7500, 0.4124)
Pt (0.2052, 0.7500, 0.4162)
Pt (0.2948, 0.2500, 0.9162)
Pt (0.7052, 0.7500, 0.0838)
Pt (0.7948, 0.2500, 0.5838)

Most intense lines, 5° ≤ 2θ ≤ 70°, low angle first:
- d = 3.376 Å, 2θ 26.40, intensity 30
- d = 2.683 Å, 2θ 33.40, intensity 28
- d = 2.613 Å, 2θ 34.32, intensity 100
- d = 2.275 Å, 2θ 39.61, intensity 19
- d = 2.211 Å, 2θ 40.81, intensity 74
- d = 1.688 Å, 2θ 54.35, intensity 20
- d = 1.586 Å, 2θ 58.15, intensity 12
- d = 1.413 Å, 2θ 66.11, intensity 17

This entry pairs a crystal structure of HfH3 with its calculated powder diffraction line list. Radiation: Cu Ka. Structure: a crystal structure in the Materials Project, relaxed with PBE.
Neutral-atom scattering factors, no anomalous dispersion.

Crystal structure
Cell lengths 3.0846, 3.0846, 3.0846 Å; angles 90.00, 90.00, 90.00 degrees
Fractional positions:
Hf (0.0000, 0.0000, 0.0000)
H (0.0000, 0.5000, 0.5000)
H (0.5000, 0.0000, 0.5000)
H (0.5000, 0.5000, 0.0000)

Most intense lines, 5° ≤ 2θ ≤ 70°, low angle first:
- d = 3.085 Å, 2θ 28.95, intensity 100
- d = 2.181 Å, 2θ 41.40, intensity 77
- d = 1.781 Å, 2θ 51.30, intensity 29
- d = 1.542 Å, 2θ 59.98, intensity 14
- d = 1.379 Å, 2θ 67.95, intensity 36

This entry pairs a crystal structure of LaCu5Sn with its calculated powder diffraction line list. Radiation: Cu Ka. Structure: a crystal structure in the Materials Project, relaxed with PBE.
Neutral-atom scattering factors, no anomalous dispersion.

Crystal structure
Cell lengths 8.3917, 5.0928, 10.6818 Å; angles 90.00, 90.00, 90.00 degrees
Fractional positions:
La (0.2432, 0.2500, 0.0617)
La (0.2568, 0.7500, 0.5617)
La (0.7432, 0.2500, 0.4383)
La (0.7568, 0.7500, 0.9383)
Cu (0.0600, 0.7500, 0.1065)
Cu (0.0655, 0.5013, 0.3126)
Cu (0.0655, 0.9987, 0.3126)
Cu (0.0857, 0.2500, 0.5166)
Cu (0.1839, 0.2500, 0.7459)
Cu (0.3161, 0.7500, 0.2459)
Cu (0.4143, 0.7500, 0.0166)
Cu (0.4345, 0.0013, 0.8126)
Cu (0.4345, 0.4987, 0.8126)
Cu (0.4400, 0.2500, 0.6065)
Cu (0.5600, 0.7500, 0.3935)
Cu (0.5655, 0.5013, 0.1874)
Cu (0.5655, 0.9987, 0.1874)
Cu (0.5857, 0.2500, 0.9834)
Cu (0.6839, 0.2500, 0.7541)
Cu (0.8161, 0.7500, 0.2541)
Cu (0.9143, 0.7500, 0.4834)
Cu (0.9345, 0.0013, 0.6874)
Cu (0.9345, 0.4987, 0.6874)
Cu (0.9400, 0.2500, 0.8935)
Sn (0.1421, 0.7500, 0.8619)
Sn (0.3579, 0.2500, 0.3619)
Sn (0.6421, 0.7500, 0.6381)
Sn (0.8579, 0.2500, 0.1381)

Most intense lines, 5° ≤ 2θ ≤ 70°, low angle first:
- d = 2.918 Å, 2θ 30.64, intensity 19
- d = 2.546 Å, 2θ 35.26, intensity 50
- d = 2.392 Å, 2θ 37.60, intensity 100
- d = 2.133 Å, 2θ 42.37, intensity 23
- d = 2.060 Å, 2θ 43.96, intensity 49
- d = 2.011 Å, 2θ 45.09, intensity 30
- d = 1.440 Å, 2θ 64.75, intensity 18
- d = 1.437 Å, 2θ 64.88, intensity 29